# 1
Structure and calculated powder diffraction line list of Te3As2 (a DFT-relaxed cell (GGA-PBE, the Materials Project); Cu Kα (λ = 1.5418 Å)).
Peak positions follow from Bragg's law for the DFT cell and can differ from measured ones.

Cell: 7.7718 7.7718 10.1411 Å, 95.39 95.39 30.35°
Positions (direct):
Te  0.0423  0.0423  0.2879
Te  0.2179  0.2179  0.6644
Te  0.3698  0.3698  0.0307
Te  0.6302  0.6302  0.9693
Te  0.7821  0.7821  0.3356
Te  0.9577  0.9577  0.7121
As  0.2053  0.2053  0.1409
As  0.3746  0.3746  0.5605
As  0.6254  0.6254  0.4395
As  0.7947  0.7947  0.8591

Most intense lines, 2θ = 10–80°, most intense first:
- 29.17 deg, I 100
- 28.32 deg, I 51
- 44.58 deg, I 48
- 37.35 deg, I 23
- 48.18 deg, I 20
- 53.61 deg, I 18

# 2
Structure and calculated powder diffraction line list of TeAs2 (a DFT-relaxed cell (GGA-PBE, the Materials Project); Cu Kα (λ = 1.5418 Å)).
Peak positions follow from Bragg's law for the DFT cell and can differ from measured ones.

Cell: 5.8261 5.8261 5.8261 Å, 104.76 104.76 119.38°
Positions (direct):
Te  0.3750  0.6250  0.7500
Te  0.6250  0.3750  0.2500
As  0.0000  0.0000  0.0000
As  0.0000  0.0000  0.5000
As  0.0000  0.5000  0.0000
As  0.5000  0.0000  0.5000

Most intense lines, 2θ = 10–80°, most intense first:
- 31.99 deg, I 100
- 48.68 deg, I 30
- 25.04 deg, I 26
- 39.78 deg, I 24
- 35.36 deg, I 21
- 51.38 deg, I 18

# 3
Structure and calculated powder diffraction line list of Th2Te2As (a DFT-relaxed cell (GGA-PBE, the Materials Project); Cu Kα (λ = 1.5418 Å)).
Peak positions follow from Bragg's law for the DFT cell and can differ from measured ones.

Cell: 3.2555 3.2555 16.3348 Å, 90.00 90.00 90.00°
Positions (direct):
Th  0.0000  0.0000  0.1750
Th  0.0000  0.0000  0.8250
Te  0.0000  0.0000  0.3627
Te  0.0000  0.0000  0.6373
As  0.0000  0.0000  0.0000

Most intense lines, 2θ = 10–80°, most intense first:
- 27.38 deg, I 100
- 39.10 deg, I 59
- 43.32 deg, I 31
- 10.83 deg, I 28
- 63.93 deg, I 22
- 52.02 deg, I 18